Record 1
Starting from a crystal structure in Alexandria, relaxed with PBE, the PXRD pattern of Na3Ac3GaS8 was calculated for Cu Kα X-rays.
Lines closer than 0.1° are merged.

Largest 10 diffraction maxima, sorted by position, 10 to 90 degrees two-theta:
d (Å)  Position (°2θ)  Rel. int.
6.603  13.41  98
3.628  24.54  63
3.458  25.76  40
2.959  30.20  100
2.700  33.18  25
2.246  40.16  23
2.131  42.42  37
2.056  44.04  34
2.028  44.69  30
1.729  52.95  19

```
data_Na3Ac3GaS8
_cell_length_a 8.235
_cell_length_b 8.235
_cell_length_c 8.235
_cell_angle_alpha 62.33
_cell_angle_beta 62.33
_cell_angle_gamma 62.33
_space_group_name_H-M_alt 'P 1'
_space_group_IT_number 1
_space_group_name_Hall 'P 1'
loop_
_atom_site_label
_atom_site_type_symbol
_atom_site_fract_x
_atom_site_fract_y
_atom_site_fract_z
Na1 Na 0.000 0.500 0.500
Na2 Na 0.500 0.000 0.500
Na3 Na 0.500 0.500 0.000
Ac1 Ac 0.000 0.000 0.500
Ac2 Ac 0.000 0.500 0.000
Ac3 Ac 0.500 0.000 0.000
Ga1 Ga 0.500 0.500 0.500
S1 S 0.248 0.248 0.248
S2 S 0.283 0.283 0.715
S3 S 0.283 0.715 0.283
S4 S 0.285 0.717 0.717
S5 S 0.715 0.283 0.283
S6 S 0.717 0.285 0.717
S7 S 0.717 0.717 0.285
S8 S 0.752 0.752 0.752
```

---

Record 2
Starting from a crystal structure in Alexandria, relaxed with PBE, the PXRD pattern of Ac3Nd4Ga4 was calculated for Cu Kα X-rays.
Lines closer than 0.1° are merged.

Largest 10 diffraction maxima, sorted by position, 10 to 90 degrees two-theta:
d (Å)  Position (°2θ)  Rel. int.
3.172  28.13  40
3.099  28.81  100
2.998  29.80  87
2.760  32.44  19
2.487  36.12  31
2.428  37.03  37
1.928  47.14  20
1.775  51.47  19
1.737  52.69  21
1.473  63.13  17

```
data_Ac3Nd4Ga4
_cell_length_a 9.835
_cell_length_b 9.835
_cell_length_c 9.835
_cell_angle_alpha 151.42
_cell_angle_beta 130.19
_cell_angle_gamma 58.43
_space_group_name_H-M_alt 'P 1'
_space_group_IT_number 1
_space_group_name_Hall 'P 1'
loop_
_atom_site_label
_atom_site_type_symbol
_atom_site_fract_x
_atom_site_fract_y
_atom_site_fract_z
Ac1 Ac 0.000 0.000 0.000
Ac2 Ac 0.390 0.890 0.500
Ac3 Ac 0.610 0.110 0.500
Nd1 Nd 0.033 0.331 0.702
Nd2 Nd 0.372 0.669 0.702
Nd3 Nd 0.628 0.331 0.298
Nd4 Nd 0.967 0.669 0.298
Ga1 Ga 0.222 0.222 0.000
Ga2 Ga 0.323 0.500 0.823
Ga3 Ga 0.677 0.500 0.177
Ga4 Ga 0.778 0.778 0.000
```

---

Record 3
Starting from a crystal structure in Alexandria, relaxed with PBE, the PXRD pattern of AcNdGa2 was calculated for Cu Kα X-rays.
Lines closer than 0.1° are merged.

Largest 10 diffraction maxima, sorted by position, 10 to 90 degrees two-theta:
d (Å)  Position (°2θ)  Rel. int.
3.543  25.13  32
3.263  27.33  100
3.046  29.32  93
2.908  30.74  95
2.732  32.78  84
2.613  34.32  66
2.407  37.36  80
2.145  42.13  41
1.726  53.05  42
1.658  55.42  34

```
data_AcNdGa2
_cell_length_a 4.290
_cell_length_b 6.176
_cell_length_c 8.652
_cell_angle_alpha 90.00
_cell_angle_beta 90.00
_cell_angle_gamma 90.00
_space_group_name_H-M_alt 'P 1'
_space_group_IT_number 1
_space_group_name_Hall 'P 1'
loop_
_atom_site_label
_atom_site_type_symbol
_atom_site_fract_x
_atom_site_fract_y
_atom_site_fract_z
Ac1 Ac 0.000 0.127 0.000
Ac2 Ac 0.000 0.873 0.500
Nd1 Nd 0.500 0.366 0.362
Nd2 Nd 0.500 0.634 0.862
Ga1 Ga 0.000 0.391 0.650
Ga2 Ga 0.000 0.609 0.150
Ga3 Ga 0.500 0.148 0.709
Ga4 Ga 0.500 0.852 0.209
```

---

Record 4
Starting from a crystal structure in Alexandria, relaxed with PBE, the PXRD pattern of AcNd3Ga2 was calculated for Cu Kα X-rays.
Lines closer than 0.1° are merged.

Largest 10 diffraction maxima, sorted by position, 10 to 90 degrees two-theta:
d (Å)  Position (°2θ)  Rel. int.
3.172  28.13  31
3.083  28.96  100
2.994  29.84  69
2.838  31.53  22
2.662  33.67  27
2.566  34.97  22
2.438  36.86  36
2.372  37.94  16
1.798  50.78  17
1.652  55.63  19

```
data_AcNd3Ga2
_cell_length_a 4.876
_cell_length_b 9.051
_cell_length_c 8.354
_cell_angle_alpha 90.00
_cell_angle_beta 90.00
_cell_angle_gamma 90.00
_space_group_name_H-M_alt 'P 1'
_space_group_IT_number 1
_space_group_name_Hall 'P 1'
loop_
_atom_site_label
_atom_site_type_symbol
_atom_site_fract_x
_atom_site_fract_y
_atom_site_fract_z
Ac1 Ac 0.000 0.088 0.000
Ac2 Ac 0.000 0.912 0.500
Nd1 Nd 0.000 0.335 0.617
Nd2 Nd 0.000 0.665 0.117
Nd3 Nd 0.500 0.175 0.334
Nd4 Nd 0.500 0.421 0.951
Nd5 Nd 0.500 0.579 0.451
Nd6 Nd 0.500 0.825 0.834
Ga1 Ga 0.000 0.364 0.250
Ga2 Ga 0.000 0.636 0.750
Ga3 Ga 0.500 0.146 0.711
Ga4 Ga 0.500 0.854 0.211
```

---

Record 5
Starting from a crystal structure in Alexandria, relaxed with PBE, the PXRD pattern of AcNdGa2 was calculated for Cu Kα X-rays.
Lines closer than 0.1° are merged.

Largest 10 diffraction maxima, sorted by position, 10 to 90 degrees two-theta:
d (Å)  Position (°2θ)  Rel. int.
3.562  25.00  20
3.030  29.48  29
2.958  30.21  100
2.787  32.12  57
2.373  37.91  25
1.937  46.91  16
1.868  48.74  15
1.588  58.08  14
1.501  61.83  14
1.460  63.77  12

```
data_AcNdGa2
_cell_length_a 4.746
_cell_length_b 13.390
_cell_length_c 7.124
_cell_angle_alpha 90.00
_cell_angle_beta 90.00
_cell_angle_gamma 90.00
_space_group_name_H-M_alt 'P 1'
_space_group_IT_number 1
_space_group_name_Hall 'P 1'
loop_
_atom_site_label
_atom_site_type_symbol
_atom_site_fract_x
_atom_site_fract_y
_atom_site_fract_z
Ac1 Ac 0.000 0.060 0.250
Ac2 Ac 0.000 0.940 0.750
Ac3 Ac 0.500 0.440 0.750
Ac4 Ac 0.500 0.560 0.250
Nd1 Nd 0.000 0.221 0.750
Nd2 Nd 0.000 0.779 0.250
Nd3 Nd 0.500 0.279 0.250
Nd4 Nd 0.500 0.721 0.750
Ga1 Ga 0.000 0.399 0.066
Ga2 Ga 0.000 0.399 0.434
Ga3 Ga 0.000 0.601 0.566
Ga4 Ga 0.000 0.601 0.934
Ga5 Ga 0.500 0.101 0.566
Ga6 Ga 0.500 0.101 0.934
Ga7 Ga 0.500 0.899 0.066
Ga8 Ga 0.500 0.899 0.434
```

---

Record 6
Starting from a crystal structure in Alexandria, relaxed with PBE, the PXRD pattern of AcNdSmGa was calculated for Cu Kα X-rays.
Lines closer than 0.1° are merged.

Largest 10 diffraction maxima, sorted by position, 10 to 90 degrees two-theta:
d (Å)  Position (°2θ)  Rel. int.
4.557  19.48  14
2.791  32.07  100
2.380  37.80  8
1.973  45.99  19
1.811  50.39  4
1.611  57.17  39
1.519  60.99  3
1.395  67.07  12
1.248  76.30  17
1.139  85.16  4

```
data_AcNdSmGa
_cell_length_a 7.893
_cell_length_b 7.893
_cell_length_c 7.893
_cell_angle_alpha 90.00
_cell_angle_beta 90.00
_cell_angle_gamma 90.00
_space_group_name_H-M_alt 'P 1'
_space_group_IT_number 1
_space_group_name_Hall 'P 1'
loop_
_atom_site_label
_atom_site_type_symbol
_atom_site_fract_x
_atom_site_fract_y
_atom_site_fract_z
Ac1 Ac 0.000 0.000 0.000
Ac2 Ac 0.000 0.500 0.500
Ac3 Ac 0.500 0.000 0.500
Ac4 Ac 0.500 0.500 0.000
Nd1 Nd 0.250 0.250 0.750
Nd2 Nd 0.250 0.750 0.250
Nd3 Nd 0.750 0.250 0.250
Nd4 Nd 0.750 0.750 0.750
Sm1 Sm 0.250 0.250 0.250
Sm2 Sm 0.250 0.750 0.750
Sm3 Sm 0.750 0.250 0.750
Sm4 Sm 0.750 0.750 0.250
Ga1 Ga 0.000 0.000 0.500
Ga2 Ga 0.000 0.500 0.000
Ga3 Ga 0.500 0.000 0.000
Ga4 Ga 0.500 0.500 0.500
```

---

Record 7
Starting from a crystal structure in Alexandria, relaxed with PBE, the PXRD pattern of AcNdTlGa was calculated for Cu Kα X-rays.
Lines closer than 0.1° are merged.

Largest 10 diffraction maxima, sorted by position, 10 to 90 degrees two-theta:
d (Å)  Position (°2θ)  Rel. int.
4.545  19.53  12
3.936  22.59  2
2.783  32.16  100
2.374  37.90  7
1.968  46.12  19
1.806  50.54  3
1.607  57.34  39
1.392  67.28  12
1.245  76.54  17
1.136  85.45  4

```
data_AcNdTlGa
_cell_length_a 7.872
_cell_length_b 7.872
_cell_length_c 7.872
_cell_angle_alpha 90.00
_cell_angle_beta 90.00
_cell_angle_gamma 90.00
_space_group_name_H-M_alt 'P 1'
_space_group_IT_number 1
_space_group_name_Hall 'P 1'
loop_
_atom_site_label
_atom_site_type_symbol
_atom_site_fract_x
_atom_site_fract_y
_atom_site_fract_z
Ac1 Ac 0.000 0.000 0.000
Ac2 Ac 0.000 0.500 0.500
Ac3 Ac 0.500 0.000 0.500
Ac4 Ac 0.500 0.500 0.000
Nd1 Nd 0.000 0.000 0.500
Nd2 Nd 0.000 0.500 0.000
Nd3 Nd 0.500 0.000 0.000
Nd4 Nd 0.500 0.500 0.500
Tl1 Tl 0.250 0.250 0.250
Tl2 Tl 0.250 0.750 0.750
Tl3 Tl 0.750 0.250 0.750
Tl4 Tl 0.750 0.750 0.250
Ga1 Ga 0.250 0.250 0.750
Ga2 Ga 0.250 0.750 0.250
Ga3 Ga 0.750 0.250 0.250
Ga4 Ga 0.750 0.750 0.750
```

---

Record 8
Starting from a crystal structure in Alexandria, relaxed with PBE, the PXRD pattern of Ac2GaNi9 was calculated for Cu Kα X-rays.
Lines closer than 0.1° are merged.

Largest 10 diffraction maxima, sorted by position, 10 to 90 degrees two-theta:
d (Å)  Position (°2θ)  Rel. int.
8.458  10.46  40
3.581  24.86  69
2.782  32.18  82
2.560  35.05  100
2.505  35.85  95
2.161  41.79  63
2.155  41.92  95
2.053  44.12  39
2.037  44.48  49
1.995  45.47  49

```
data_Ac2GaNi9
_cell_length_a 8.939
_cell_length_b 8.939
_cell_length_c 8.939
_cell_angle_alpha 32.55
_cell_angle_beta 32.55
_cell_angle_gamma 32.55
_space_group_name_H-M_alt 'P 1'
_space_group_IT_number 1
_space_group_name_Hall 'P 1'
loop_
_atom_site_label
_atom_site_type_symbol
_atom_site_fract_x
_atom_site_fract_y
_atom_site_fract_z
Ac1 Ac 0.132 0.132 0.132
Ac2 Ac 0.868 0.868 0.868
Ga1 Ga 0.000 0.000 0.000
Ni1 Ni 0.078 0.576 0.576
Ni2 Ni 0.333 0.333 0.333
Ni3 Ni 0.424 0.424 0.922
Ni4 Ni 0.424 0.922 0.424
Ni5 Ni 0.500 0.500 0.500
Ni6 Ni 0.576 0.078 0.576
Ni7 Ni 0.576 0.576 0.078
Ni8 Ni 0.667 0.667 0.667
Ni9 Ni 0.922 0.424 0.424
```

---

Record 9
Starting from a crystal structure in Alexandria, relaxed with PBE, the PXRD pattern of AcGa5Ni was calculated for Cu Kα X-rays.
Lines closer than 0.1° are merged.

Largest 10 diffraction maxima, sorted by position, 10 to 90 degrees two-theta:
d (Å)  Position (°2θ)  Rel. int.
4.452  19.94  38
2.887  30.97  74
2.811  31.83  24
2.417  37.20  24
2.377  37.85  100
2.226  40.53  60
1.637  56.18  29
1.574  58.66  20
1.571  58.79  17
1.312  71.95  30

```
data_AcGa5Ni
_cell_length_a 4.452
_cell_length_b 4.452
_cell_length_c 7.250
_cell_angle_alpha 90.00
_cell_angle_beta 90.00
_cell_angle_gamma 90.00
_space_group_name_H-M_alt 'P 1'
_space_group_IT_number 1
_space_group_name_Hall 'P 1'
loop_
_atom_site_label
_atom_site_type_symbol
_atom_site_fract_x
_atom_site_fract_y
_atom_site_fract_z
Ac1 Ac 0.000 0.000 0.000
Ga1 Ga 0.000 0.500 0.321
Ga2 Ga 0.000 0.500 0.679
Ga3 Ga 0.500 0.000 0.321
Ga4 Ga 0.500 0.000 0.679
Ga5 Ga 0.500 0.500 0.000
Ni1 Ni 0.000 0.000 0.500
```

---

Record 10
Starting from a crystal structure in Alexandria, relaxed with PBE, the PXRD pattern of Ac3Ga2Ni2 was calculated for Cu Kα X-rays.
Lines closer than 0.1° are merged.

Largest 10 diffraction maxima, sorted by position, 10 to 90 degrees two-theta:
d (Å)  Position (°2θ)  Rel. int.
3.623  24.57  62
3.106  28.74  25
2.994  29.84  100
2.866  31.21  64
2.616  34.28  46
2.242  40.22  29
2.229  40.47  29
1.906  47.70  21
1.878  48.48  23
1.759  51.97  30

```
data_Ac3Ga2Ni2
_cell_length_a 4.458
_cell_length_b 4.485
_cell_length_c 18.635
_cell_angle_alpha 90.00
_cell_angle_beta 90.00
_cell_angle_gamma 90.00
_space_group_name_H-M_alt 'P 1'
_space_group_IT_number 1
_space_group_name_Hall 'P 1'
loop_
_atom_site_label
_atom_site_type_symbol
_atom_site_fract_x
_atom_site_fract_y
_atom_site_fract_z
Ac1 Ac 0.000 0.000 0.000
Ac2 Ac 0.000 0.500 0.324
Ac3 Ac 0.000 0.500 0.676
Ac4 Ac 0.500 0.000 0.176
Ac5 Ac 0.500 0.000 0.824
Ac6 Ac 0.500 0.500 0.500
Ga1 Ga 0.000 0.500 0.131
Ga2 Ga 0.000 0.500 0.869
Ga3 Ga 0.500 0.000 0.369
Ga4 Ga 0.500 0.000 0.631
Ni1 Ni 0.000 0.000 0.433
Ni2 Ni 0.000 0.000 0.567
Ni3 Ni 0.500 0.500 0.067
Ni4 Ni 0.500 0.500 0.933
```

---

Record 11
Starting from a crystal structure in Alexandria, relaxed with PBE, the PXRD pattern of Ac4Ga5Ni2 was calculated for Cu Kα X-rays.
Lines closer than 0.1° are merged.

Largest 10 diffraction maxima, sorted by position, 10 to 90 degrees two-theta:
d (Å)  Position (°2θ)  Rel. int.
4.142  21.45  29
3.620  24.59  29
2.917  30.65  100
2.793  32.04  76
2.716  32.98  56
2.565  34.98  32
2.504  35.86  28
2.430  37.00  38
2.315  38.90  27
2.055  44.08  42

```
data_Ac4Ga5Ni2
_cell_length_a 7.270
_cell_length_b 4.110
_cell_length_c 9.516
_cell_angle_alpha 90.00
_cell_angle_beta 95.26
_cell_angle_gamma 90.00
_space_group_name_H-M_alt 'P 1'
_space_group_IT_number 1
_space_group_name_Hall 'P 1'
loop_
_atom_site_label
_atom_site_type_symbol
_atom_site_fract_x
_atom_site_fract_y
_atom_site_fract_z
Ac1 Ac 0.174 0.000 0.365
Ac2 Ac 0.247 0.000 0.933
Ac3 Ac 0.753 0.000 0.067
Ac4 Ac 0.826 0.000 0.635
Ga1 Ga 0.212 0.500 0.656
Ga2 Ga 0.436 0.500 0.198
Ga3 Ga 0.500 0.500 0.500
Ga4 Ga 0.564 0.500 0.802
Ga5 Ga 0.788 0.500 0.344
Ni1 Ni 0.080 0.500 0.126
Ni2 Ni 0.920 0.500 0.874
```

---

Record 12
Starting from a crystal structure in Alexandria, relaxed with PBE, the PXRD pattern of Ac7Ga2Ni2 was calculated for Cu Kα X-rays.
Lines closer than 0.1° are merged.

Largest 10 diffraction maxima, sorted by position, 10 to 90 degrees two-theta:
d (Å)  Position (°2θ)  Rel. int.
3.724  23.90  21
3.435  25.94  100
3.274  27.24  52
3.175  28.10  21
3.039  29.39  57
2.604  34.44  37
2.525  35.56  74
1.822  50.08  21
1.637  56.20  41
1.588  58.10  17

```
data_Ac7Ga2Ni2
_cell_length_a 7.366
_cell_length_b 7.366
_cell_length_c 7.448
_cell_angle_alpha 90.00
_cell_angle_beta 90.00
_cell_angle_gamma 111.17
_space_group_name_H-M_alt 'P 1'
_space_group_IT_number 1
_space_group_name_Hall 'P 1'
loop_
_atom_site_label
_atom_site_type_symbol
_atom_site_fract_x
_atom_site_fract_y
_atom_site_fract_z
Ac1 Ac 0.000 0.000 0.000
Ac2 Ac 0.000 0.500 0.256
Ac3 Ac 0.000 0.500 0.744
Ac4 Ac 0.500 0.000 0.256
Ac5 Ac 0.500 0.000 0.744
Ac6 Ac 0.500 0.500 0.252
Ac7 Ac 0.500 0.500 0.748
Ga1 Ga 0.155 0.155 0.500
Ga2 Ga 0.845 0.845 0.500
Ni1 Ni 0.301 0.699 0.000
Ni2 Ni 0.699 0.301 0.000
```

---

Record 13
Starting from a crystal structure in Alexandria, relaxed with PBE, the PXRD pattern of Ac3Ga2Ni6 was calculated for Cu Kα X-rays.
Lines closer than 0.1° are merged.

Largest 10 diffraction maxima, sorted by position, 10 to 90 degrees two-theta:
d (Å)  Position (°2θ)  Rel. int.
3.823  23.27  41
2.961  30.18  53
2.703  33.14  51
2.502  35.89  24
2.341  38.46  34
2.207  40.89  100
1.709  53.61  28
1.519  61.00  20
1.412  66.21  21
1.274  74.46  30

```
data_Ac3Ga2Ni6
_cell_length_a 8.109
_cell_length_b 8.109
_cell_length_c 8.109
_cell_angle_alpha 109.47
_cell_angle_beta 109.47
_cell_angle_gamma 109.47
_space_group_name_H-M_alt 'P 1'
_space_group_IT_number 1
_space_group_name_Hall 'P 1'
loop_
_atom_site_label
_atom_site_type_symbol
_atom_site_fract_x
_atom_site_fract_y
_atom_site_fract_z
Ac1 Ac 0.000 0.292 0.292
Ac2 Ac 0.000 0.708 0.708
Ac3 Ac 0.292 0.000 0.292
Ac4 Ac 0.292 0.292 0.000
Ac5 Ac 0.708 0.000 0.708
Ac6 Ac 0.708 0.708 0.000
Ga1 Ga 0.000 0.000 0.500
Ga2 Ga 0.000 0.500 0.000
Ga3 Ga 0.500 0.000 0.000
Ga4 Ga 0.500 0.500 0.500
Ni1 Ni 0.000 0.332 0.668
Ni2 Ni 0.000 0.668 0.332
Ni3 Ni 0.332 0.000 0.668
Ni4 Ni 0.332 0.332 0.664
Ni5 Ni 0.332 0.664 0.332
Ni6 Ni 0.332 0.668 0.000
Ni7 Ni 0.336 0.668 0.668
Ni8 Ni 0.664 0.332 0.332
Ni9 Ni 0.668 0.000 0.332
Ni10 Ni 0.668 0.332 0.000
Ni11 Ni 0.668 0.336 0.668
Ni12 Ni 0.668 0.668 0.336
```

---

Record 14
Starting from a crystal structure in Alexandria, relaxed with PBE, the PXRD pattern of Ac3Ga3Ni8 was calculated for Cu Kα X-rays.
Lines closer than 0.1° are merged.

Largest 10 diffraction maxima, sorted by position, 10 to 90 degrees two-theta:
d (Å)  Position (°2θ)  Rel. int.
3.840  23.16  60
3.805  23.38  74
2.937  30.44  58
2.568  34.93  45
2.558  35.08  99
2.517  35.67  100
2.443  36.78  70
2.142  42.19  46
2.066  43.83  65
1.610  57.21  39

```
data_Ac3Ga3Ni8
_cell_length_a 8.208
_cell_length_b 8.208
_cell_length_c 8.208
_cell_angle_alpha 150.85
_cell_angle_beta 106.92
_cell_angle_gamma 80.54
_space_group_name_H-M_alt 'P 1'
_space_group_IT_number 1
_space_group_name_Hall 'P 1'
loop_
_atom_site_label
_atom_site_type_symbol
_atom_site_fract_x
_atom_site_fract_y
_atom_site_fract_z
Ac1 Ac 0.000 0.000 0.000
Ac2 Ac 0.291 0.291 0.000
Ac3 Ac 0.709 0.709 0.000
Ga1 Ga 0.268 0.500 0.768
Ga2 Ga 0.500 0.000 0.500
Ga3 Ga 0.732 0.500 0.232
Ni1 Ni 0.009 0.304 0.706
Ni2 Ni 0.181 0.895 0.286
Ni3 Ni 0.392 0.105 0.286
Ni4 Ni 0.402 0.696 0.706
Ni5 Ni 0.598 0.304 0.294
Ni6 Ni 0.608 0.895 0.714
Ni7 Ni 0.819 0.105 0.714
Ni8 Ni 0.991 0.696 0.294
```